[1]
Starting from a crystal structure in Alexandria, relaxed with PBE, the X-ray diffraction stick pattern of Pu4HgBr8 was calculated for CuKα.
Lines closer than 0.1° are merged.

Structural model:
```
data_Pu4HgBr8
_chemical_formula_sum 'Pu4 Hg1 Br8'
_space_group_name_H-M_alt 'P 1'
_space_group_IT_number 1
_cell_length_a 10.6620
_cell_length_b 10.6620
_cell_length_c 14.2079
_cell_angle_alpha 128.38
_cell_angle_beta 128.38
_cell_angle_gamma 22.82
loop_
_space_group_symop_operation_xyz
'x,y,z'
loop_
_atom_site_label
_atom_site_fract_x
_atom_site_fract_y
_atom_site_fract_z
Pu1 0.0000 0.0000 0.0000
Pu2 0.1900 0.1900 0.7054
Pu3 0.5170 0.5170 0.3669
Pu4 0.7070 0.7070 0.0723
Hg1 0.8532 0.8532 0.5359
Br1 0.1446 0.1446 0.4587
Br2 0.1838 0.1838 0.1961
Br3 0.2295 0.2295 0.9478
Br4 0.4777 0.4777 0.1247
Br5 0.5232 0.5232 0.8762
Br6 0.5624 0.5624 0.6138
Br7 0.8166 0.8166 0.7875
Br8 0.8904 0.8904 0.2851
```

Peak list (12 most intense, 2θ from 10° to 90°, most intense first)
2θ (°)	I_rel
42.49	100.0
24.77	94.1
26.84	85.2
33.73	83.4
37.83	70.8
12.48	54.5
19.24	54.0
17.95	53.9
33.23	52.3
42.87	43.6
28.35	42.0
25.34	37.1


[2]
Starting from a crystal structure in Alexandria, relaxed with PBE, the X-ray diffraction stick pattern of Rb4HgBr6 was calculated for CuKα.
Lines closer than 0.1° are merged.

Structural model:
```
data_Rb4HgBr6
_chemical_formula_sum 'Rb8 Hg2 Br12'
_space_group_name_H-M_alt 'P 1'
_space_group_IT_number 1
_cell_length_a 9.4333
_cell_length_b 9.4333
_cell_length_c 16.1818
_cell_angle_alpha 111.23
_cell_angle_beta 111.23
_cell_angle_gamma 54.70
loop_
_space_group_symop_operation_xyz
'x,y,z'
loop_
_atom_site_label
_atom_site_fract_x
_atom_site_fract_y
_atom_site_fract_z
Rb1 0.0591 0.4717 0.8325
Rb2 0.1365 0.8635 0.5000
Rb3 0.2700 0.5848 0.1777
Rb4 0.4717 0.0591 0.3325
Rb5 0.4874 0.8035 0.9801
Rb6 0.5848 0.2700 0.6777
Rb7 0.8035 0.4874 0.4801
Rb8 0.8635 0.1365 0.0000
Hg1 0.4719 0.9409 0.7378
Hg2 0.9409 0.4719 0.2378
Br1 0.1182 0.4785 0.4122
Br2 0.2005 0.7226 0.9982
Br3 0.2051 0.2352 0.1396
Br4 0.2352 0.2051 0.6396
Br5 0.3311 0.7516 0.7136
Br6 0.4045 0.7877 0.3799
Br7 0.4785 0.1182 0.9122
Br8 0.7226 0.2005 0.4982
Br9 0.7516 0.3311 0.2136
Br10 0.7799 0.8020 0.6953
Br11 0.7877 0.4045 0.8799
Br12 0.8020 0.7799 0.1953
```

Peak list (12 most intense, 2θ from 10° to 90°, most intense first)
2θ (°)	I_rel
12.04	100.0
19.49	96.1
23.47	75.3
20.49	70.3
24.25	65.9
14.22	60.0
12.82	57.7
11.57	55.7
33.86	55.6
38.43	52.7
33.18	51.2
34.76	49.1


[3]
Starting from a crystal structure in Alexandria, relaxed with PBE, the X-ray diffraction stick pattern of Rb4Hg3Br10 was calculated for CuKα.
Lines closer than 0.1° are merged.

Structural model:
```
data_Rb4Hg3Br10
_chemical_formula_sum 'Rb4 Hg3 Br10'
_space_group_name_H-M_alt 'P 1'
_space_group_IT_number 1
_cell_length_a 20.0088
_cell_length_b 20.0088
_cell_length_c 20.0088
_cell_angle_alpha 163.70
_cell_angle_beta 163.70
_cell_angle_gamma 23.13
loop_
_space_group_symop_operation_xyz
'x,y,z'
loop_
_atom_site_label
_atom_site_fract_x
_atom_site_fract_y
_atom_site_fract_z
Rb1 0.0677 0.0677 0.0000
Rb2 0.1967 0.1967 0.0000
Rb3 0.8033 0.8033 0.0000
Rb4 0.9323 0.9323 0.0000
Hg1 0.3548 0.3548 0.0000
Hg2 0.5000 0.5000 0.0000
Hg3 0.6452 0.6452 0.0000
Br1 0.0000 0.5000 0.5000
Br2 0.1388 0.6388 0.5000
Br3 0.2851 0.2851 0.0000
Br4 0.3612 0.8612 0.5000
Br5 0.4285 0.4285 0.0000
Br6 0.5000 0.0000 0.5000
Br7 0.5715 0.5715 0.0000
Br8 0.6388 0.1388 0.5000
Br9 0.7149 0.7149 0.0000
Br10 0.8612 0.3612 0.5000
```

Peak list (12 most intense, 2θ from 10° to 90°, most intense first)
2θ (°)	I_rel
31.54	100.0
45.51	56.3
15.78	55.9
22.30	46.9
22.16	46.6
31.96	39.0
45.20	36.5
13.55	34.1
56.43	32.9
33.66	28.9
46.79	25.2
38.97	23.3


[4]
Starting from a crystal structure in Alexandria, relaxed with PBE, the X-ray diffraction stick pattern of Rb2HgRhBr6 was calculated for CuKα.
Lines closer than 0.1° are merged.

Structural model:
```
data_Rb2HgRhBr6
_chemical_formula_sum 'Rb4 Hg2 Rh2 Br12'
_space_group_name_H-M_alt 'P 1'
_space_group_IT_number 1
_cell_length_a 7.6976
_cell_length_b 10.8719
_cell_length_c 7.7263
_cell_angle_alpha 90.00
_cell_angle_beta 90.00
_cell_angle_gamma 90.00
loop_
_space_group_symop_operation_xyz
'x,y,z'
loop_
_atom_site_label
_atom_site_fract_x
_atom_site_fract_y
_atom_site_fract_z
Rb1 0.2500 0.0002 0.2468
Rb2 0.2500 0.4998 0.2468
Rb3 0.7500 0.9998 0.7532
Rb4 0.7500 0.5002 0.7532
Hg1 0.2500 0.2500 0.7406
Hg2 0.7500 0.7500 0.2594
Rh1 0.2500 0.7500 0.7552
Rh2 0.7500 0.2500 0.2448
Br1 0.0125 0.7500 0.9855
Br2 0.0192 0.7500 0.5191
Br3 0.2500 0.5162 0.7668
Br4 0.2500 0.9838 0.7668
Br5 0.4808 0.7500 0.5191
Br6 0.4875 0.7500 0.9855
Br7 0.5125 0.2500 0.0145
Br8 0.5192 0.2500 0.4809
Br9 0.7500 0.0162 0.2332
Br10 0.7500 0.4838 0.2332
Br11 0.9808 0.2500 0.4809
Br12 0.9875 0.2500 0.0145
```

Peak list (12 most intense, 2θ from 10° to 90°, most intense first)
2θ (°)	I_rel
32.85	100.0
47.22	86.8
23.09	82.5
16.27	81.6
32.95	50.2
28.38	40.2
78.52	21.0
36.94	19.7
36.86	19.6
40.52	17.9
40.61	17.7
58.79	17.6